# 1
This entry pairs a crystal structure of Pr5Si2Ag2 with its simulated X-ray powder pattern. Radiation: copper Kα. Structure: a DFT-relaxed cell (GGA-PBE, Alexandria).

```
Pr5Si2Ag2
1.0
8.147 -3.930 0.000
8.147 3.930 0.000
0.000 0.000 7.812
Pr Si Ag
10 4 4
direct
0.000 0.000 0.000 Pr
0.052 0.687 0.679 Pr
0.187 0.552 0.179 Pr
0.313 0.948 0.679 Pr
0.448 0.813 0.179 Pr
0.500 0.500 0.500 Pr
0.552 0.187 0.821 Pr
0.687 0.052 0.321 Pr
0.813 0.448 0.821 Pr
0.948 0.313 0.321 Pr
0.113 0.887 0.387 Si
0.387 0.613 0.887 Si
0.613 0.387 0.113 Si
0.887 0.113 0.613 Si
0.215 0.215 0.000 Ag
0.285 0.285 0.500 Ag
0.715 0.715 0.500 Ag
0.785 0.785 0.000 Ag
```

Most intense lines, 2θ from 10° to 80°, low angle first:
- 25.37 deg, intensity 48
- 26.05 deg, intensity 41
- 30.40 deg, intensity 60
- 31.64 deg, intensity 100
- 31.74 deg, intensity 94
- 31.86 deg, intensity 60
- 32.31 deg, intensity 78
- 33.70 deg, intensity 66
- 36.59 deg, intensity 42
- 36.77 deg, intensity 41


# 2
This entry pairs a crystal structure of Pr12SiAg6 with its simulated X-ray powder pattern. Radiation: copper Kα. Structure: a DFT-relaxed cell (GGA-PBE, Alexandria).

```
Pr12SiAg6
1.0
6.004 3.466 4.628
-6.004 3.466 4.628
0.000 -6.932 4.628
Pr Si Ag
12 1 6
direct
0.043 0.696 0.953 Pr
0.047 0.957 0.304 Pr
0.167 0.519 0.383 Pr
0.304 0.047 0.957 Pr
0.383 0.167 0.519 Pr
0.481 0.617 0.833 Pr
0.519 0.383 0.167 Pr
0.617 0.833 0.481 Pr
0.696 0.953 0.043 Pr
0.833 0.481 0.617 Pr
0.953 0.043 0.696 Pr
0.957 0.304 0.047 Pr
0.500 0.500 0.500 Si
0.187 0.372 0.765 Ag
0.235 0.813 0.628 Ag
0.372 0.765 0.187 Ag
0.628 0.235 0.813 Ag
0.765 0.187 0.372 Ag
0.813 0.628 0.235 Ag
```

Most intense lines, 2θ from 10° to 80°, low angle first:
- 27.08 deg, intensity 46
- 29.76 deg, intensity 13
- 31.69 deg, intensity 100
- 32.27 deg, intensity 16
- 33.65 deg, intensity 40
- 34.47 deg, intensity 39
- 35.65 deg, intensity 47
- 39.74 deg, intensity 24
- 58.95 deg, intensity 15
- 62.45 deg, intensity 13


# 3
This entry pairs a crystal structure of PrSm5Ag6 with its simulated X-ray powder pattern. Radiation: copper Kα. Structure: a DFT-relaxed cell (GGA-PBE, Alexandria).

```
PrSm5Ag6
1.0
2.649 -7.952 0.000
2.649 7.952 0.000
0.000 0.000 7.364
Pr Sm Ag
1 5 6
direct
0.000 0.000 0.000 Pr
0.000 0.000 0.500 Sm
0.333 0.667 0.000 Sm
0.334 0.666 0.500 Sm
0.666 0.334 0.500 Sm
0.667 0.333 0.000 Sm
0.169 0.831 0.253 Ag
0.169 0.831 0.747 Ag
0.500 0.500 0.255 Ag
0.500 0.500 0.745 Ag
0.831 0.169 0.253 Ag
0.831 0.169 0.747 Ag
```

Most intense lines, 2θ from 10° to 80°, low angle first:
- 23.74 deg, intensity 2
- 33.83 deg, intensity 51
- 34.14 deg, intensity 100
- 42.01 deg, intensity 1
- 48.59 deg, intensity 18
- 49.51 deg, intensity 9
- 60.72 deg, intensity 37
- 61.31 deg, intensity 18
- 71.16 deg, intensity 6
- 71.89 deg, intensity 11


# 4
This entry pairs a crystal structure of Pr2SmAg6 with its simulated X-ray powder pattern. Radiation: copper Kα. Structure: a DFT-relaxed cell (GGA-PBE, Alexandria).

```
Pr2SmAg6
1.0
8.345 0.000 0.000
-4.173 7.227 0.000
0.000 0.000 3.586
Pr Sm Ag
2 1 6
direct
0.333 0.667 0.000 Pr
0.667 0.333 0.000 Pr
0.000 0.000 0.000 Sm
0.000 0.332 0.500 Ag
0.000 0.668 0.500 Ag
0.332 0.000 0.500 Ag
0.332 0.332 0.500 Ag
0.668 0.000 0.500 Ag
0.668 0.668 0.500 Ag
```

Most intense lines, 2θ from 10° to 80°, low angle first:
- 24.83 deg, intensity 4
- 32.93 deg, intensity 100
- 37.33 deg, intensity 73
- 45.35 deg, intensity 4
- 50.62 deg, intensity 29
- 50.93 deg, intensity 10
- 64.55 deg, intensity 27
- 64.82 deg, intensity 28
- 67.32 deg, intensity 12
- 79.59 deg, intensity 8


# 5
This entry pairs a crystal structure of Pr2Sm3Ag3 with its simulated X-ray powder pattern. Radiation: copper Kα. Structure: a DFT-relaxed cell (GGA-PBE, Alexandria).

```
Pr2Sm3Ag3
1.0
3.786 0.000 0.000
0.000 5.391 0.000
0.000 0.000 22.163
Pr Sm Ag
4 6 6
direct
0.000 0.000 0.230 Pr
0.000 0.000 0.770 Pr
0.500 0.500 0.270 Pr
0.500 0.500 0.730 Pr
0.000 0.000 0.000 Sm
0.000 0.500 0.119 Sm
0.000 0.500 0.881 Sm
0.500 0.000 0.381 Sm
0.500 0.000 0.619 Sm
0.500 0.500 0.500 Sm
0.000 0.000 0.500 Ag
0.000 0.500 0.386 Ag
0.000 0.500 0.614 Ag
0.500 0.000 0.114 Ag
0.500 0.000 0.886 Ag
0.500 0.500 0.000 Ag
```

Most intense lines, 2θ from 10° to 80°, low angle first:
- 32.31 deg, intensity 20
- 33.13 deg, intensity 100
- 33.24 deg, intensity 27
- 47.04 deg, intensity 14
- 48.07 deg, intensity 10
- 58.15 deg, intensity 9
- 59.33 deg, intensity 20
- 59.69 deg, intensity 10
- 69.53 deg, intensity 9
- 79.99 deg, intensity 8


# 6
This entry pairs a crystal structure of PrSm4Ag with its simulated X-ray powder pattern. Radiation: copper Kα. Structure: a DFT-relaxed cell (GGA-PBE, Alexandria).

```
PrSm4Ag
1.0
2.786 -10.619 0.000
2.786 10.619 0.000
0.000 0.000 6.581
Pr Sm Ag
2 8 2
direct
0.133 0.867 0.500 Pr
0.867 0.133 0.000 Pr
0.065 0.935 0.003 Sm
0.254 0.746 0.118 Sm
0.324 0.676 0.641 Sm
0.467 0.533 0.838 Sm
0.533 0.467 0.338 Sm
0.676 0.324 0.141 Sm
0.746 0.254 0.618 Sm
0.935 0.065 0.503 Sm
0.395 0.605 0.245 Ag
0.605 0.395 0.745 Ag
```

Most intense lines, 2θ from 10° to 80°, low angle first:
- 28.39 deg, intensity 28
- 28.64 deg, intensity 18
- 29.73 deg, intensity 100
- 31.86 deg, intensity 55
- 32.12 deg, intensity 60
- 34.08 deg, intensity 22
- 36.38 deg, intensity 48
- 43.40 deg, intensity 18
- 55.79 deg, intensity 17
- 59.92 deg, intensity 16


# 7
This entry pairs a crystal structure of Pr6SmAg2 with its simulated X-ray powder pattern. Radiation: copper Kα. Structure: a DFT-relaxed cell (GGA-PBE, Alexandria).

```
Pr6SmAg2
1.0
6.480 -1.899 0.000
6.480 1.899 0.000
-3.857 0.000 11.641
Pr Sm Ag
6 1 2
direct
0.025 0.025 0.333 Pr
0.312 0.312 0.409 Pr
0.315 0.315 0.123 Pr
0.685 0.685 0.877 Pr
0.688 0.688 0.591 Pr
0.975 0.975 0.667 Pr
0.000 0.000 0.000 Sm
0.357 0.357 0.806 Ag
0.643 0.643 0.194 Ag
```

Most intense lines, 2θ from 10° to 80°, low angle first:
- 30.89 deg, intensity 48
- 32.14 deg, intensity 100
- 44.18 deg, intensity 7
- 44.32 deg, intensity 7
- 47.89 deg, intensity 9
- 49.91 deg, intensity 5
- 55.71 deg, intensity 16
- 55.80 deg, intensity 7
- 58.08 deg, intensity 16
- 79.18 deg, intensity 7


# 8
This entry pairs a crystal structure of PrSm3Ag3 with its simulated X-ray powder pattern. Radiation: copper Kα. Structure: a DFT-relaxed cell (GGA-PBE, Alexandria).

```
PrSm3Ag3
1.0
5.291 -5.283 0.000
5.291 5.283 0.000
-1.548 0.000 7.109
Pr Sm Ag
2 6 6
direct
0.239 0.239 0.495 Pr
0.761 0.761 0.505 Pr
0.161 0.161 0.944 Sm
0.229 0.771 0.500 Sm
0.318 0.682 0.000 Sm
0.682 0.318 0.000 Sm
0.771 0.229 0.500 Sm
0.839 0.839 0.056 Sm
0.028 0.486 0.214 Ag
0.452 0.452 0.295 Ag
0.486 0.028 0.214 Ag
0.514 0.972 0.786 Ag
0.548 0.548 0.705 Ag
0.972 0.514 0.786 Ag
```

Most intense lines, 2θ from 10° to 80°, low angle first:
- 27.22 deg, intensity 27
- 28.84 deg, intensity 23
- 30.38 deg, intensity 34
- 32.18 deg, intensity 100
- 33.94 deg, intensity 38
- 34.70 deg, intensity 26
- 37.69 deg, intensity 50
- 38.26 deg, intensity 25
- 38.43 deg, intensity 17
- 38.78 deg, intensity 15


Copy entry 4 word for word.
This entry pairs a crystal structure of Pr2SmAg6 with its simulated X-ray powder pattern. Radiation: copper Kα. Structure: a DFT-relaxed cell (GGA-PBE, Alexandria).

```
Pr2SmAg6
1.0
8.345 0.000 0.000
-4.173 7.227 0.000
0.000 0.000 3.586
Pr Sm Ag
2 1 6
direct
0.333 0.667 0.000 Pr
0.667 0.333 0.000 Pr
0.000 0.000 0.000 Sm
0.000 0.332 0.500 Ag
0.000 0.668 0.500 Ag
0.332 0.000 0.500 Ag
0.332 0.332 0.500 Ag
0.668 0.000 0.500 Ag
0.668 0.668 0.500 Ag
```

Most intense lines, 2θ from 10° to 80°, low angle first:
- 24.83 deg, intensity 4
- 32.93 deg, intensity 100
- 37.33 deg, intensity 73
- 45.35 deg, intensity 4
- 50.62 deg, intensity 29
- 50.93 deg, intensity 10
- 64.55 deg, intensity 27
- 64.82 deg, intensity 28
- 67.32 deg, intensity 12
- 79.59 deg, intensity 8


Copy entry 8 word for word.
This entry pairs a crystal structure of PrSm3Ag3 with its simulated X-ray powder pattern. Radiation: copper Kα. Structure: a DFT-relaxed cell (GGA-PBE, Alexandria).

```
PrSm3Ag3
1.0
5.291 -5.283 0.000
5.291 5.283 0.000
-1.548 0.000 7.109
Pr Sm Ag
2 6 6
direct
0.239 0.239 0.495 Pr
0.761 0.761 0.505 Pr
0.161 0.161 0.944 Sm
0.229 0.771 0.500 Sm
0.318 0.682 0.000 Sm
0.682 0.318 0.000 Sm
0.771 0.229 0.500 Sm
0.839 0.839 0.056 Sm
0.028 0.486 0.214 Ag
0.452 0.452 0.295 Ag
0.486 0.028 0.214 Ag
0.514 0.972 0.786 Ag
0.548 0.548 0.705 Ag
0.972 0.514 0.786 Ag
```

Most intense lines, 2θ from 10° to 80°, low angle first:
- 27.22 deg, intensity 27
- 28.84 deg, intensity 23
- 30.38 deg, intensity 34
- 32.18 deg, intensity 100
- 33.94 deg, intensity 38
- 34.70 deg, intensity 26
- 37.69 deg, intensity 50
- 38.26 deg, intensity 25
- 38.43 deg, intensity 17
- 38.78 deg, intensity 15